No. 1
Diffraction record for Ba8AsN4. The powder XRD pattern is theoretical, not measured: it uses a DFT-relaxed cell (PBE, Alexandria) and Cu Kα (weighted mean of Kα1 and Kα2).

```
data_Ba8AsN4
_chemical_formula_sum 'Ba16 As2 N8'
_symmetry_space_group_name_H-M 'C 1 2/m 1'
_symmetry_Int_Tables_number 12
_symmetry_space_group_name_Hall '-C 2y'
_cell_length_a 14.165
_cell_length_b 8.130
_cell_length_c 10.330
_cell_angle_alpha 90.00
_cell_angle_beta 130.61
_cell_angle_gamma 90.00
loop_
_atom_site_label
_atom_site_fract_x
_atom_site_fract_y
_atom_site_fract_z
_atom_site_occupancy
Ba1 0.003 0.000 0.321 1
Ba2 0.011 0.500 0.694 1
Ba3 0.237 0.240 0.304 1
As1 0.000 0.000 0.000 1
N1 0.000 0.266 0.500 1
N2 0.238 0.500 0.482 1
```

Principal peaks in the range 15 to 90 degrees two-theta, sorted by position:
h k l  2θ/deg  I/Imax
0 0 2  22.68  30
4 0 -2  25.22  25
2 2 0  27.51  100
2 2 -2  27.99  39
4 0 -3  28.14  45
4 0 0  33.33  35
0 0 3  34.30  23
2 2 -3  34.60  60
2 2 2  42.59  18
6 2 -3  44.41  32
0 4 0  44.58  16
2 2 3  52.94  18

***

No. 2
Diffraction record for Ba2As2N. The powder XRD pattern is theoretical, not measured: it uses a DFT-relaxed cell (PBE, Alexandria) and Cu Kα (weighted mean of Kα1 and Kα2).

```
data_Ba2As2N
_chemical_formula_sum 'Ba4 As4 N2'
_symmetry_space_group_name_H-M 'I 4/m m m'
_symmetry_Int_Tables_number 139
_symmetry_space_group_name_Hall '-I 4 2'
_cell_length_a 6.522
_cell_length_b 6.522
_cell_length_c 7.341
_cell_angle_alpha 90.00
_cell_angle_beta 90.00
_cell_angle_gamma 90.00
loop_
_atom_site_label
_atom_site_fract_x
_atom_site_fract_y
_atom_site_fract_z
_atom_site_occupancy
Ba1 0.000 0.500 0.250 1
As1 0.000 0.000 0.243 1
N1 0.000 0.000 0.500 1
```

Principal peaks in the range 15 to 90 degrees two-theta, sorted by position:
h k l  2θ/deg  I/Imax
0 0 2  24.25  58
2 0 0  27.35  100
2 0 2  36.87  78
2 2 0  39.06  38
2 2 2  46.51  40
4 0 0  56.43  13
2 0 4  57.64  24
4 0 2  62.31  17
4 2 0  63.82  17
2 2 4  64.94  16
4 2 2  69.33  25
4 2 4  84.94  16

***

No. 3
Diffraction record for Ba2Th4As3N2. The powder XRD pattern is theoretical, not measured: it uses a DFT-relaxed cell (PBE, Alexandria) and Cu Kα (weighted mean of Kα1 and Kα2).

```
data_Ba2Th4As3N2
_chemical_formula_sum 'Ba4 Th8 As6 N4'
_symmetry_space_group_name_H-M 'I 4/m m m'
_symmetry_Int_Tables_number 139
_symmetry_space_group_name_Hall '-I 4 2'
_cell_length_a 4.824
_cell_length_b 4.824
_cell_length_c 25.578
_cell_angle_alpha 90.00
_cell_angle_beta 90.00
_cell_angle_gamma 90.00
loop_
_atom_site_label
_atom_site_fract_x
_atom_site_fract_y
_atom_site_fract_z
_atom_site_occupancy
Ba1 0.000 0.000 0.199 1
Th1 0.000 0.500 0.076 1
As1 0.000 0.000 0.339 1
As2 0.000 0.000 0.500 1
N1 0.000 0.000 0.092 1
```

Principal peaks in the range 15 to 90 degrees two-theta, sorted by position:
h k l  2θ/deg  I/Imax
0 0 6  20.84  20
1 1 2  27.05  65
0 0 8  27.90  23
1 0 7  30.69  17
1 1 6  33.65  100
2 0 0  37.28  58
1 1 8  38.59  14
2 0 8  47.20  22
1 1 12  50.49  13
2 2 0  53.74  20
3 1 2  61.18  14
3 1 6  64.92  32

***

No. 4
Diffraction record for BaNa2AsO. The powder XRD pattern is theoretical, not measured: it uses a DFT-relaxed cell (PBE, Alexandria) and Cu Kα (weighted mean of Kα1 and Kα2).

```
data_BaNa2AsO
_chemical_formula_sum 'Ba4 Na8 As4 O4'
_symmetry_space_group_name_H-M 'I 4/m c m'
_symmetry_Int_Tables_number 140
_symmetry_space_group_name_Hall '-I 4 2c'
_cell_length_a 6.716
_cell_length_b 6.716
_cell_length_c 10.651
_cell_angle_alpha 90.00
_cell_angle_beta 90.00
_cell_angle_gamma 90.00
loop_
_atom_site_label
_atom_site_fract_x
_atom_site_fract_y
_atom_site_fract_z
_atom_site_occupancy
Ba1 0.000 0.000 0.250 1
Na1 0.201 0.299 0.000 1
As1 0.000 0.500 0.250 1
O1 0.000 0.000 0.000 1
```

Principal peaks in the range 15 to 90 degrees two-theta, sorted by position:
h k l  2θ/deg  I/Imax
0 0 2  16.65  44
1 1 0  18.68  15
2 0 0  26.54  50
2 0 2  31.49  100
0 0 4  33.66  29
2 2 0  37.89  37
2 2 2  41.64  22
2 0 4  43.37  26
2 2 4  51.56  32
2 0 6  58.84  17
4 2 2  64.46  20
4 0 4  65.72  18